# 1
The following is a theoretical powder diffraction line list of Ga2Si2S. It was derived from the GGA-PBE geometry in Alexandria, using Cu Kα.

Most intense lines, 2θ from 5° to 70°, sorted by position:
Position (°2θ)  I/Imax  hkl
18.5  45.1  0 0 2
27.8  100.0  1 0 0
27.9  21.4  0 0 3
29.3  24.8  0 1 1
33.6  95.6  0 1 2
39.8  34.1  0 1 3
47.3  60.8  0 1 4
49.1  53.4  1 1 0
52.9  16.7  1 1 2
57.4  28.2  2 0 0

Structure:
Cell lengths 3.710, 3.710, 9.586 Å; angles 90.00, 90.00, 120.00 degrees
Element x y z (fractional)
Ga  0.000  0.000  0.000
Ga  0.000  0.000  0.449
Si  0.000  0.000  0.748
Si  0.667  0.333  0.647
S  0.333  0.667  0.110

---

# 2
The following is a theoretical powder diffraction line list of Ga2Si2S. It was derived from the GGA-PBE geometry in Alexandria, using Cu Kα.

Most intense lines, 2θ from 5° to 70°, sorted by position:
Position (°2θ)  I/Imax  hkl
16.4  78.2  0 1 0
24.2  62.1  0 1 -1
25.7  95.5  1 0 0
26.0  100.0  1 1 1
31.7  58.6  0 0 2
34.0  61.5  0 1 2
34.9  58.1  1 2 1
48.1  40.5  2 1 1
48.5  37.7  0 0 3
50.6  38.5  1 3 0

Structure:
Cell lengths 3.785, 5.735, 5.983 Å; angles 77.94, 71.70, 71.94 degrees
Element x y z (fractional)
Ga  0.000  0.000  0.000
Ga  0.143  0.335  0.378
Si  0.240  0.558  0.975
Si  0.899  0.417  0.788
S  0.763  0.050  0.405

---

# 3
The following is a theoretical powder diffraction line list of Ga2Si2S. It was derived from the GGA-PBE geometry in Alexandria, using Cu Kα.

Most intense lines, 2θ from 5° to 70°, sorted by position:
Position (°2θ)  I/Imax  hkl
10.9  33.8  0 0 3
27.7  7.6  1 0 1
31.2  100.0  1 0 4
33.1  10.6  0 0 9
37.9  31.5  1 0 7
40.6  22.7  0 1 8
48.6  39.5  1 1 0
49.9  30.5  0 1 11
58.9  15.3  0 2 4
68.0  12.8  1 0 16

Structure:
Cell lengths 3.749, 3.749, 24.364 Å; angles 90.00, 90.00, 120.00 degrees
Element x y z (fractional)
Ga  0.000  0.000  0.000
Ga  0.000  0.000  0.257
Ga  0.333  0.667  0.667
Ga  0.333  0.667  0.924
Ga  0.667  0.333  0.333
Ga  0.667  0.333  0.591
Si  0.000  0.000  0.519
Si  0.000  0.000  0.814
Si  0.333  0.667  0.186
Si  0.333  0.667  0.480
Si  0.667  0.333  0.147
Si  0.667  0.333  0.852
S  0.000  0.000  0.722
S  0.333  0.667  0.388
S  0.667  0.333  0.055

---

# 4
The following is a theoretical powder diffraction line list of Ga2Si2S. It was derived from the GGA-PBE geometry in Alexandria, using Cu Kα.

Most intense lines, 2θ from 5° to 70°, sorted by position:
Position (°2θ)  I/Imax  hkl
10.6  57.3  0 0 1
27.6  52.0  1 0 0
29.7  88.7  1 0 1
35.1  100.0  1 0 2
42.8  97.8  0 1 3
48.9  66.2  1 1 0
58.2  12.8  0 2 1
61.6  18.5  0 2 2
67.0  24.7  2 0 3
67.3  14.7  1 1 4

Structure:
Cell lengths 3.728, 3.728, 8.371 Å; angles 90.00, 90.00, 120.00 degrees
Element x y z (fractional)
Ga  0.000  0.000  0.000
Ga  0.333  0.667  0.771
Si  0.000  0.000  0.336
Si  0.667  0.333  0.220
S  0.000  0.000  0.605

---

# 5
The following is a theoretical powder diffraction line list of Ga2Si2S. It was derived from the GGA-PBE geometry in Alexandria, using Cu Kα.

Most intense lines, 2θ from 5° to 70°, sorted by position:
Position (°2θ)  I/Imax  hkl
10.7  38.9  0 0 1
29.7  86.5  1 0 1
35.2  100.0  1 0 2
43.1  37.4  0 1 3
48.9  47.9  1 1 0
52.5  21.8  0 1 4
58.3  12.0  0 2 1
61.7  18.7  0 2 2
67.2  9.5  2 0 3
67.6  11.1  1 1 4

Structure:
Cell lengths 3.725, 3.725, 8.295 Å; angles 90.00, 90.00, 120.00 degrees
Element x y z (fractional)
Ga  0.000  0.000  0.000
Ga  0.333  0.667  0.766
Si  0.333  0.667  0.216
Si  0.667  0.333  0.330
S  0.667  0.333  0.601

---

# 6
The following is a theoretical powder diffraction line list of GaSiS4. It was derived from the GGA-PBE geometry in Alexandria, using Cu Kα.

Most intense lines, 2θ from 5° to 70°, sorted by position:
Position (°2θ)  I/Imax  hkl
18.9  70.4  1 0 1
30.0  100.0  1 1 2
32.8  18.0  1 0 3
38.4  28.7  1 2 1
47.4  12.6  2 1 3
47.6  23.8  2 2 0
51.3  38.2  2 0 4
57.3  26.2  3 1 2
63.8  9.8  1 1 6
69.5  6.9  4 0 0

Structure:
Cell lengths 5.407, 5.407, 9.474 Å; angles 90.00, 90.00, 90.00 degrees
Element x y z (fractional)
Ga  0.000  0.000  0.000
Ga  0.500  0.500  0.500
Si  0.000  0.500  0.250
Si  0.500  0.000  0.750
S  0.228  0.742  0.372
S  0.242  0.272  0.128
S  0.258  0.228  0.628
S  0.272  0.758  0.872
S  0.728  0.242  0.872
S  0.742  0.772  0.628
S  0.758  0.728  0.128
S  0.772  0.258  0.372